(1)
Structure and calculated powder diffraction line list of Sr4CrN4 (a crystal structure in Alexandria, relaxed with GGA-PBE; Cu Kα X-rays).

Structural model:
```
data_Sr4CrN4
_space_group_name_H-M_alt 'P n m a'
_space_group_IT_number 62
_cell_length_a 11.842
_cell_length_b 5.258
_cell_length_c 11.664
_cell_angle_alpha 90.00
_cell_angle_beta 90.00
_cell_angle_gamma 90.00
loop_
_space_group_symop_operation_xyz
'x,y,z'
'-x,-y,-z'
'-x+1/2,-y,z+1/2'
'x+1/2,y,-z+1/2'
'x+1/2,-y+1/2,-z+1/2'
'-x+1/2,y+1/2,z+1/2'
'-x,y+1/2,-z'
'x,-y+1/2,z'
loop_
_atom_site_label
_atom_site_type_symbol
_atom_site_fract_x
_atom_site_fract_y
_atom_site_fract_z
Sr1 Sr 0.054 0.250 0.110
Sr2 Sr 0.090 0.750 0.315
Sr3 Sr 0.135 0.750 0.664
Sr4 Sr 0.224 0.250 0.475
Cr1 Cr 0.136 0.250 0.853
N1 N 0.003 0.750 0.110
N2 N 0.070 0.250 0.332
N3 N 0.173 0.250 0.709
N4 N 0.234 0.250 0.966
```

Largest 8 diffraction maxima, in order of rising 2θ, 10 to 90 degrees two-theta:
hkl 2 1 2, 3.261 Å, intensity 32; hkl 3 1 1, 3.047 Å, intensity 82; hkl 1 1 3, 3.023 Å, intensity 100; hkl 4 0 1, 2.869 Å, intensity 26; hkl 3 1 2, 2.776 Å, intensity 34; hkl 4 0 2, 2.640 Å, intensity 25; hkl 0 2 0, 2.629 Å, intensity 79; hkl 1 0 5, 2.289 Å, intensity 21



(2)
Structure and calculated powder diffraction line list of PrTm4Sc6 (a crystal structure in Alexandria, relaxed with GGA-PBE; Cu Kα X-rays).

Structural model:
```
data_PrTm4Sc6
_space_group_name_H-M_alt 'I m m m'
_space_group_IT_number 71
_space_group_name_Hall '-I 2 2'
_cell_length_a 3.290
_cell_length_b 5.428
_cell_length_c 34.586
_cell_angle_alpha 90.00
_cell_angle_beta 90.00
_cell_angle_gamma 90.00
loop_
_atom_site_label
_atom_site_type_symbol
_atom_site_fract_x
_atom_site_fract_y
_atom_site_fract_z
Pr1 Pr 0.000 0.000 0.000
Tm1 Tm 0.000 0.000 0.183
Tm2 Tm 0.000 0.000 0.453
Sc1 Sc 0.000 0.500 0.130
Sc2 Sc 0.000 0.500 0.233
Sc3 Sc 0.000 0.500 0.402
```

Largest 8 diffraction maxima, in order of rising 2θ, 10 to 90 degrees two-theta:
hkl 0 1 3, 4.911 Å, intensity 25; hkl 0 1 5, 4.270 Å, intensity 19; hkl 1 0 3, 3.164 Å, intensity 19; hkl 1 1 0, 2.814 Å, intensity 19; hkl 0 2 0, 2.718 Å, intensity 100; hkl 1 1 6, 2.529 Å, intensity 22; hkl 1 1 8, 2.358 Å, intensity 28; hkl 2 2 0, 1.408 Å, intensity 25